DyMgHg6: theoretical powder diffractogram (Cu Kα X-rays), based on a crystal structure in OQMD, relaxed with PBE.
Peak positions follow from Bragg's law for the DFT cell and can differ from measured ones.

Structure:
```
data_DyMgHg6
_chemical_formula_sum 'Dy1 Mg1 Hg6'
_symmetry_space_group_name_H-M 'P -6 m 2'
_symmetry_Int_Tables_number 187
_symmetry_space_group_name_Hall 'P -6 2'
_cell_length_a 6.5818
_cell_length_b 6.5818
_cell_length_c 4.9859
_cell_angle_alpha 90.00
_cell_angle_beta 90.00
_cell_angle_gamma 120.00
loop_
_atom_site_label
_atom_site_type_symbol
_atom_site_fract_x
_atom_site_fract_y
_atom_site_fract_z
_atom_site_occupancy
Dy1 Dy 0.0000 0.0000 0.0000 1
Mg1 Mg 0.3333 0.6667 0.5000 1
Hg1 Hg 0.0075 0.5037 0.0000 1
Hg2 Hg 0.3345 0.1672 0.5000 1
```

Top 6 peaks for 2θ = 5–70°, by angle:
2θ/deg	I (rel.)	h k l
31.4	25	2 0 0
36.0	23	0 0 2
36.3	100	2 0 1
55.9	19	2 2 0
65.0	19	2 0 3
68.3	21	2 2 2